(1)
Computed powder XRD pattern
Compound: CsGa2HgF8
Radiation: CuKα
Structure: the GGA-PBE geometry in Alexandria
Lines closer than 0.1° are merged.

Principal peaks in the range 10 to 90 degrees two-theta, by intensity:
- 22.83 deg, rel. 100.0
- 30.34 deg, rel. 46.5
- 34.55 deg, rel. 32.3
- 38.30 deg, rel. 24.5
- 49.62 deg, rel. 23.1
- 55.33 deg, rel. 21.0

Atomic structure:
a = 8.7307 Å, b = 8.7307 Å, c = 8.7307 Å
α = 39.44°, β = 39.44°, γ = 39.44°
Positions (direct):
Cs (0.0000, 0.0000, 0.0000)
Ga (0.2475, 0.2475, 0.2475)
Ga (0.7525, 0.7525, 0.7525)
Hg (0.5000, 0.5000, 0.5000)
F (0.0486, 0.8082, 0.4648)
F (0.1918, 0.5352, 0.9514)
F (0.3223, 0.3223, 0.3223)
F (0.4648, 0.0486, 0.8082)
F (0.5352, 0.9514, 0.1918)
F (0.6777, 0.6777, 0.6777)
F (0.8082, 0.4648, 0.0486)
F (0.9514, 0.1918, 0.5352)

(2)
Computed powder XRD pattern
Compound: Er6TlIn6
Radiation: CuKα
Structure: the GGA-PBE geometry in Alexandria
Lines closer than 0.1° are merged.

Principal peaks in the range 10 to 90 degrees two-theta, by intensity:
- 33.17 deg, rel. 100.0
- 37.12 deg, rel. 98.0
- 28.28 deg, rel. 86.0
- 32.76 deg, rel. 52.5
- 58.49 deg, rel. 43.7
- 60.76 deg, rel. 43.2

Atomic structure:
a = 6.3124 Å, b = 6.3124 Å, c = 10.4450 Å
α = 90.00°, β = 90.00°, γ = 120.00°
Positions (direct):
Er (0.0000, 0.0000, 0.1764)
Er (0.0000, 0.0000, 0.8236)
Er (0.3333, 0.6667, 0.0000)
Er (0.3333, 0.6667, 0.5000)
Er (0.6667, 0.3333, 0.0000)
Er (0.6667, 0.3333, 0.5000)
Tl (0.0000, 0.0000, 0.5000)
In (0.0000, 0.5000, 0.2503)
In (0.0000, 0.5000, 0.7497)
In (0.5000, 0.0000, 0.2503)
In (0.5000, 0.0000, 0.7497)
In (0.5000, 0.5000, 0.2503)
In (0.5000, 0.5000, 0.7497)